SmThAlGe: theoretical PXRD pattern (a wavelength of 1.5418 Å), based on a DFT-relaxed cell (PBE, Alexandria).

Largest 12 diffraction maxima, in order of rising 2θ, 10 to 90 degrees two-theta:
2θ 21.47, intensity 27
2θ 26.94, intensity 48
2θ 30.68, intensity 100
2θ 31.24, intensity 54
2θ 31.93, intensity 28
2θ 38.34, intensity 37
2θ 40.50, intensity 24
2θ 44.16, intensity 18
2θ 49.31, intensity 19
2θ 50.73, intensity 19
2θ 55.08, intensity 22
2θ 61.50, intensity 28

Cell and atoms:
```
SmThAlGe
1.0
4.1018 0.0000 0.0000
0.0000 2.2273 5.6049
0.0000 -2.2273 5.6049
Sm Th Al Ge
1 1 1 1
direct
0.0000 0.0000 0.0000
0.5000 0.7156 0.7156
0.0000 0.2865 0.2865
0.5000 0.4342 0.4342
```

=====

CsLi6Tl12: theoretical PXRD pattern (a wavelength of 1.5418 Å), based on a DFT-relaxed cell (PBE, Alexandria).

Largest 12 diffraction maxima, in order of rising 2θ, 10 to 90 degrees two-theta:
2θ 18.97, intensity 10
2θ 23.26, intensity 29
2θ 29.39, intensity 100
2θ 35.21, intensity 40
2θ 35.87, intensity 18
2θ 38.47, intensity 9
2θ 40.83, intensity 8
2θ 43.17, intensity 21
2θ 53.16, intensity 13
2θ 53.63, intensity 17
2θ 56.84, intensity 14
2θ 62.27, intensity 13

Cell and atoms:
```
CsLi6Tl12
1.0
6.6302 3.8279 3.4142
-6.6302 3.8279 3.4142
0.0000 -7.6559 3.4142
Cs Li Tl
1 6 12
direct
0.0000 0.0000 0.0000
0.2600 0.2600 0.7036
0.2600 0.7036 0.2600
0.2964 0.7400 0.7400
0.7036 0.2600 0.2600
0.7400 0.2964 0.7400
0.7400 0.7400 0.2964
0.1195 0.5000 0.8805
0.1195 0.8805 0.5000
0.1640 0.4262 0.4262
0.4262 0.1640 0.4262
0.4262 0.4262 0.1640
0.5000 0.1195 0.8805
0.5000 0.8805 0.1195
0.5738 0.5738 0.8360
0.5738 0.8360 0.5738
0.8360 0.5738 0.5738
0.8805 0.1195 0.5000
0.8805 0.5000 0.1195
```

=====

Ba8Cd2Au3: theoretical PXRD pattern (a wavelength of 1.5418 Å), based on a DFT-relaxed cell (PBE, Alexandria).

Largest 12 diffraction maxima, in order of rising 2θ, 10 to 90 degrees two-theta:
2θ 10.64, intensity 13
2θ 18.53, intensity 7
2θ 18.67, intensity 7
2θ 30.55, intensity 100
2θ 30.88, intensity 20
2θ 43.54, intensity 7
2θ 43.97, intensity 15
2θ 54.10, intensity 7
2θ 54.28, intensity 22
2θ 54.71, intensity 15
2θ 63.59, intensity 11
2θ 72.51, intensity 6

Cell and atoms:
```
Ba8Cd2Au3
1.0
10.1675 0.0000 0.0000
0.0000 5.7916 0.0000
-3.4227 0.0000 9.5809
Ba Cd Au
8 2 3
direct
0.1131 0.0000 0.3842
0.1261 0.5000 0.8611
0.3603 0.5000 0.6232
0.3800 0.0000 0.1212
0.6200 0.0000 0.8788
0.6397 0.5000 0.3768
0.8739 0.5000 0.1389
0.8869 0.0000 0.6158
0.2544 0.5000 0.2450
0.7456 0.5000 0.7550
0.0000 0.5000 0.5000
0.2606 0.0000 0.7604
0.7394 0.0000 0.2396
```

=====

TaCd2Sn: theoretical PXRD pattern (a wavelength of 1.5418 Å), based on a DFT-relaxed cell (PBE, Alexandria).

Largest 12 diffraction maxima, in order of rising 2θ, 10 to 90 degrees two-theta:
2θ 19.15, intensity 4
2θ 31.56, intensity 100
2θ 35.34, intensity 75
2θ 45.24, intensity 37
2θ 48.11, intensity 63
2θ 58.68, intensity 17
2θ 65.90, intensity 12
2θ 68.17, intensity 22
2θ 70.32, intensity 20
2θ 74.91, intensity 16
2θ 77.06, intensity 16
2θ 87.66, intensity 23

Cell and atoms:
```
TaCd2Sn
1.0
-4.0087 4.0087 2.8404
4.0087 -4.0087 2.8404
4.0087 4.0087 -2.8404
Ta Cd Sn
2 4 2
direct
0.0000 0.0000 0.0000
0.7500 0.2500 0.5000
0.1220 0.6250 0.9970
0.3750 0.3720 0.4970
0.6280 0.1250 0.0030
0.8750 0.8780 0.5030
0.2500 0.7500 0.5000
0.5000 0.5000 0.0000
```

=====

Dy4Co3: theoretical PXRD pattern (a wavelength of 1.5418 Å), based on a DFT-relaxed cell (PBE, Alexandria).

Largest 12 diffraction maxima, in order of rising 2θ, 10 to 90 degrees two-theta:
2θ 33.01, intensity 100
2θ 35.52, intensity 22
2θ 39.06, intensity 7
2θ 40.21, intensity 6
2θ 42.43, intensity 15
2θ 45.22, intensity 12
2θ 54.77, intensity 9
2θ 57.16, intensity 10
2θ 63.74, intensity 7
2θ 63.91, intensity 16
2θ 75.67, intensity 7
2θ 89.10, intensity 5

Cell and atoms:
```
Dy4Co3
1.0
11.2733 0.0000 0.0000
-5.6367 9.7630 0.0000
0.0000 0.0000 4.0105
Dy Co
12 9
direct
0.0263 0.2472 0.2502
0.1353 0.6204 0.2513
0.2209 0.9737 0.2502
0.2472 0.2209 0.7498
0.3796 0.5149 0.2513
0.4851 0.8647 0.2513
0.5149 0.1353 0.7487
0.6204 0.4851 0.7487
0.7528 0.7791 0.2502
0.7791 0.0263 0.7498
0.8647 0.3796 0.7487
0.9737 0.7528 0.7498
0.0000 0.0000 0.5000
0.1575 0.4382 0.7487
0.2806 0.8425 0.7487
0.3333 0.6667 0.7521
0.4382 0.2806 0.2513
0.5618 0.7194 0.7487
0.6667 0.3333 0.2479
0.7194 0.1575 0.2513
0.8425 0.5618 0.2513
```

=====

Tb7Sc2: theoretical PXRD pattern (a wavelength of 1.5418 Å), based on a DFT-relaxed cell (PBE, Alexandria).

Largest 12 diffraction maxima, in order of rising 2θ, 10 to 90 degrees two-theta:
2θ 10.36, intensity 10
2θ 31.33, intensity 100
2θ 31.43, intensity 31
2θ 36.36, intensity 65
2θ 52.30, intensity 23
2θ 52.43, intensity 24
2θ 62.28, intensity 40
2θ 62.42, intensity 13
2θ 65.37, intensity 12
2θ 85.57, intensity 12
2θ 88.38, intensity 11
2θ 88.59, intensity 10

Cell and atoms:
```
Tb7Sc2
1.0
6.0594 0.0000 0.0000
-3.0297 5.2476 0.0000
0.0000 0.0000 8.5392
Tb Sc
7 2
direct
0.0000 0.0000 0.0000
0.0000 0.3362 0.6727
0.0000 0.6638 0.3273
0.3362 0.0000 0.6727
0.3362 0.3362 0.3273
0.6638 0.0000 0.3273
0.6638 0.6638 0.6727
0.3333 0.6667 0.0000
0.6667 0.3333 0.0000
```

=====

Cs4In2Hg: theoretical PXRD pattern (a wavelength of 1.5418 Å), based on a DFT-relaxed cell (PBE, Alexandria).

Largest 12 diffraction maxima, in order of rising 2θ, 10 to 90 degrees two-theta:
2θ 16.52, intensity 46
2θ 19.59, intensity 22
2θ 23.44, intensity 100
2θ 25.45, intensity 23
2θ 27.26, intensity 59
2θ 30.73, intensity 29
2θ 33.39, intensity 40
2θ 36.25, intensity 56
2θ 43.63, intensity 17
2θ 50.11, intensity 22
2θ 54.04, intensity 20
2θ 56.03, intensity 16

Cell and atoms:
```
Cs4In2Hg
1.0
-3.7947 3.7947 9.0651
3.7947 -3.7947 9.0651
3.7947 3.7947 -9.0651
Cs In Hg
4 2 1
direct
0.0000 0.5000 0.5000
0.2104 0.2104 0.0000
0.5000 0.0000 0.5000
0.7896 0.7896 0.0000
0.4218 0.4218 0.0000
0.5782 0.5782 0.0000
0.0000 0.0000 0.0000
```

=====

Li2Mg2Pb7: theoretical PXRD pattern (a wavelength of 1.5418 Å), based on a DFT-relaxed cell (PBE, Alexandria).

Largest 12 diffraction maxima, in order of rising 2θ, 10 to 90 degrees two-theta:
2θ 12.86, intensity 18
2θ 25.89, intensity 100
2θ 28.37, intensity 30
2θ 29.72, intensity 31
2θ 30.36, intensity 21
2θ 30.51, intensity 28
2θ 32.14, intensity 25
2θ 33.21, intensity 50
2θ 34.60, intensity 33
2θ 37.28, intensity 23
2θ 54.04, intensity 18
2θ 54.53, intensity 20

Cell and atoms:
```
Li2Mg2Pb7
1.0
5.2145 -4.6022 0.0000
5.2145 4.6022 0.0000
-0.6987 0.0000 6.2928
Li Mg Pb
2 2 7
direct
0.2094 0.2094 0.3768
0.7906 0.7906 0.6232
0.1944 0.8056 0.5000
0.8056 0.1944 0.5000
0.0000 0.0000 0.0000
0.0816 0.4633 0.7689
0.4599 0.4599 0.2358
0.4633 0.0816 0.7689
0.5367 0.9184 0.2311
0.5401 0.5401 0.7642
0.9184 0.5367 0.2311
```

=====

K2WSe4: theoretical PXRD pattern (a wavelength of 1.5418 Å), based on a DFT-relaxed cell (PBE, Alexandria).

Largest 12 diffraction maxima, in order of rising 2θ, 10 to 90 degrees two-theta:
2θ 16.41, intensity 39
2θ 16.60, intensity 100
2θ 17.73, intensity 23
2θ 24.15, intensity 21
2θ 24.53, intensity 19
2θ 27.64, intensity 20
2θ 27.80, intensity 30
2θ 30.31, intensity 31
2θ 31.24, intensity 22
2θ 38.94, intensity 21
2θ 43.97, intensity 21
2θ 50.32, intensity 27

Cell and atoms:
```
K2WSe4
1.0
10.0040 0.0000 0.0000
0.0000 7.2583 0.0000
0.0000 0.0000 12.8359
K W Se
8 4 16
direct
0.0509 0.2500 0.1542
0.1538 0.7500 0.3861
0.3462 0.2500 0.8861
0.4491 0.7500 0.6542
0.5509 0.2500 0.3458
0.6538 0.7500 0.1139
0.8462 0.2500 0.6139
0.9491 0.7500 0.8458
0.2484 0.7500 0.0656
0.2516 0.2500 0.5656
0.7484 0.7500 0.4344
0.7516 0.2500 0.9344
0.0209 0.7500 0.1128
0.1462 0.5085 0.6352
0.1462 0.9915 0.6352
0.2239 0.2500 0.3844
0.2761 0.7500 0.8844
0.3538 0.0085 0.1352
0.3538 0.4915 0.1352
0.4791 0.2500 0.6128
0.5209 0.7500 0.3872
0.6462 0.5085 0.8648
0.6462 0.9915 0.8648
0.7239 0.2500 0.1156
0.7761 0.7500 0.6156
0.8538 0.0085 0.3648
0.8538 0.4915 0.3648
0.9791 0.2500 0.8872
```

=====

Ac8CdRu3I4: theoretical PXRD pattern (a wavelength of 1.5418 Å), based on a DFT-relaxed cell (PBE, Alexandria).

Largest 12 diffraction maxima, in order of rising 2θ, 10 to 90 degrees two-theta:
2θ 10.24, intensity 18
2θ 24.06, intensity 12
2θ 26.89, intensity 100
2θ 28.84, intensity 18
2θ 31.05, intensity 12
2θ 33.54, intensity 17
2θ 36.20, intensity 25
2θ 40.48, intensity 39
2θ 45.07, intensity 12
2θ 49.27, intensity 18
2θ 51.88, intensity 15
2θ 65.60, intensity 14

Cell and atoms:
```
Ac8CdRu3I4
1.0
4.4565 2.5729 8.6416
-4.4565 2.5729 8.6416
0.0000 -5.1459 8.6416
Ac Cd Ru I
8 1 3 4
direct
0.2028 0.7416 0.7416
0.2296 0.2296 0.2296
0.2584 0.2584 0.7972
0.2584 0.7972 0.2584
0.7416 0.2028 0.7416
0.7416 0.7416 0.2028
0.7704 0.7704 0.7704
0.7972 0.2584 0.2584
0.5000 0.5000 0.5000
0.0000 0.0000 0.5000
0.0000 0.5000 0.0000
0.5000 0.0000 0.0000
0.0000 0.0000 0.0000
0.0000 0.5000 0.5000
0.5000 0.0000 0.5000
0.5000 0.5000 0.0000
```

=====

NaO: theoretical PXRD pattern (a wavelength of 1.5418 Å), based on a DFT-relaxed cell (PBE, Alexandria).

Largest 12 diffraction maxima, in order of rising 2θ, 10 to 90 degrees two-theta:
2θ 18.57, intensity 20
2θ 28.40, intensity 47
2θ 37.65, intensity 10
2θ 38.25, intensity 17
2θ 39.15, intensity 34
2θ 42.84, intensity 100
2θ 55.20, intensity 31
2θ 55.44, intensity 29
2θ 63.24, intensity 8
2θ 69.75, intensity 10
2θ 75.23, intensity 10
2θ 82.07, intensity 14

Cell and atoms:
```
NaO
1.0
-1.6639 1.6639 4.7781
1.6639 -1.6639 4.7781
1.6639 1.6639 -4.7781
Na O
2 2
direct
0.0000 0.0000 0.0000
0.7500 0.2500 0.5000
0.4196 0.4196 0.0000
0.5804 0.5804 0.0000
```

=====

- What is the formula in the fourth record?
  TaCd2Sn

=====

- Number 1 is which compound?
  SmThAlGe